[1]
# AcSmAsCl
Simulated powder X-ray diffraction pattern, copper Kα. Input: a cell relaxed with PBE.
No peak broadening, texture or thermal motion is included.

Structural model:
```
data_AcSmAsCl
_cell_length_a 7.433
_cell_length_b 7.433
_cell_length_c 7.433
_cell_angle_alpha 90.00
_cell_angle_beta 90.00
_cell_angle_gamma 90.00
_symmetry_space_group_name_H-M 'F -4 3 m'
_symmetry_Int_Tables_number 216
_symmetry_space_group_name_Hall 'F -4 2 3'
loop_
_atom_site_label
_atom_site_type_symbol
_atom_site_fract_x
_atom_site_fract_y
_atom_site_fract_z
Ac1 Ac 0.000 0.000 0.000
Sm1 Sm 0.000 0.000 0.500
As1 As 0.250 0.250 0.250
Cl1 Cl 0.250 0.250 0.750
```

Principal peaks in the range 15 to 90 degrees two-theta, low angle first:
3.716 Å, I = 34
2.628 Å, I = 100
2.146 Å, I = 11
1.858 Å, I = 18
1.662 Å, I = 15
1.517 Å, I = 37
1.314 Å, I = 12
1.175 Å, I = 16



[2]
# NaPr2PaTe4
Simulated powder X-ray diffraction pattern, copper Kα. Input: a cell relaxed with PBE.
No peak broadening, texture or thermal motion is included.

Structural model:
```
data_NaPr2PaTe4
_cell_length_a 7.717
_cell_length_b 4.417
_cell_length_c 7.865
_cell_angle_alpha 90.00
_cell_angle_beta 108.67
_cell_angle_gamma 90.00
_symmetry_space_group_name_H-M 'P 1 2/m 1'
_symmetry_Int_Tables_number 10
loop_
_symmetry_equiv_pos_as_xyz
'x,y,z'
'-x,-y,-z'
'-x,y,-z'
'x,-y,z'
loop_
_atom_site_label
_atom_site_type_symbol
_atom_site_fract_x
_atom_site_fract_y
_atom_site_fract_z
Na1 Na 0.000 0.000 0.000
Pr1 Pr 0.500 0.000 0.500
Pr2 Pr 0.500 0.500 0.000
Pa1 Pa 0.000 0.500 0.500
Te1 Te 0.239 0.000 0.747
Te2 Te 0.241 0.500 0.249
```

Principal peaks in the range 15 to 90 degrees two-theta, low angle first:
3.166 Å, I = 100
2.271 Å, I = 13
2.254 Å, I = 26
2.223 Å, I = 25
2.209 Å, I = 12
1.811 Å, I = 13
1.583 Å, I = 13
1.424 Å, I = 12



[3]
# NaSr2US6
Simulated powder X-ray diffraction pattern, copper Kα. Input: a cell relaxed with PBE.
No peak broadening, texture or thermal motion is included.

Structural model:
```
data_NaSr2US6
_cell_length_a 7.068
_cell_length_b 7.607
_cell_length_c 11.588
_cell_angle_alpha 90.00
_cell_angle_beta 122.67
_cell_angle_gamma 90.00
_symmetry_space_group_name_H-M 'P 1 21/c 1'
_symmetry_Int_Tables_number 14
loop_
_symmetry_equiv_pos_as_xyz
'x,y,z'
'-x,-y,-z'
'-x,y+1/2,-z+1/2'
'x,-y+1/2,z+1/2'
loop_
_atom_site_label
_atom_site_type_symbol
_atom_site_fract_x
_atom_site_fract_y
_atom_site_fract_z
Na1 Na 0.000 0.000 0.000
Sr1 Sr 0.197 0.090 0.734
U1 U 0.500 0.000 0.500
S1 S 0.154 0.180 0.445
S2 S 0.261 0.718 0.425
S3 S 0.398 0.047 0.258
```

Principal peaks in the range 15 to 90 degrees two-theta, low angle first:
5.498 Å, I = 67
3.660 Å, I = 100
3.522 Å, I = 38
3.444 Å, I = 98
3.204 Å, I = 42
3.107 Å, I = 68
2.584 Å, I = 53
2.102 Å, I = 39



[4]
# TbDyF
Simulated powder X-ray diffraction pattern, copper Kα. Input: a cell relaxed with PBE.
No peak broadening, texture or thermal motion is included.

Structural model:
```
data_TbDyF
_cell_length_a 3.7147
_cell_length_b 3.7147
_cell_length_c 5.6045
_cell_angle_alpha 90.00
_cell_angle_beta 90.00
_cell_angle_gamma 120.00
_symmetry_space_group_name_H-M 'P 3 m 1'
_symmetry_Int_Tables_number 156
loop_
_symmetry_equiv_pos_as_xyz
'x,y,z'
'-y,x-y,z'
'-x+y,-x,z'
'-y,-x,z'
'-x+y,y,z'
'x,x-y,z'
loop_
_atom_site_label
_atom_site_type_symbol
_atom_site_fract_x
_atom_site_fract_y
_atom_site_fract_z
Tb1 Tb 0.0000 0.0000 0.0000
Dy1 Dy 0.6667 0.3333 0.4889
F1 F 0.3333 0.6667 0.7423
```

Principal peaks in the range 15 to 90 degrees two-theta, low angle first:
3.217 Å, I = 18
2.802 Å, I = 19
2.790 Å, I = 100
2.113 Å, I = 19
1.857 Å, I = 23
1.616 Å, I = 19
1.547 Å, I = 37
1.188 Å, I = 14



[5]
# Nd3AlSi6Rh2
Simulated powder X-ray diffraction pattern, copper Kα. Input: a cell relaxed with PBE.
No peak broadening, texture or thermal motion is included.

Structural model:
```
data_Nd3AlSi6Rh2
_cell_length_a 5.7812
_cell_length_b 5.7812
_cell_length_c 8.2385
_cell_angle_alpha 90.00
_cell_angle_beta 90.00
_cell_angle_gamma 120.00
_symmetry_space_group_name_H-M 'P -3 m 1'
_symmetry_Int_Tables_number 164
_symmetry_space_group_name_Hall '-P 3 2"'
loop_
_atom_site_label
_atom_site_type_symbol
_atom_site_fract_x
_atom_site_fract_y
_atom_site_fract_z
Nd1 Nd 0.0000 0.0000 0.0000
Nd2 Nd 0.3333 0.6667 0.6143
Al1 Al 0.0000 0.0000 0.5000
Si1 Si 0.1921 0.3841 0.2778
Rh1 Rh 0.3333 0.6667 0.0428
```

Principal peaks in the range 15 to 90 degrees two-theta, low angle first:
4.279 Å, I = 23
3.181 Å, I = 69
2.891 Å, I = 100
2.395 Å, I = 24
2.366 Å, I = 54
2.139 Å, I = 36
1.991 Å, I = 28
1.720 Å, I = 25



[6]
# AlAgTe2
Simulated powder X-ray diffraction pattern, copper Kα. Input: a cell relaxed with PBE.
No peak broadening, texture or thermal motion is included.

Structural model:
```
data_AlAgTe2
_cell_length_a 4.478
_cell_length_b 8.973
_cell_length_c 6.336
_cell_angle_alpha 90.00
_cell_angle_beta 90.00
_cell_angle_gamma 90.00
_symmetry_space_group_name_H-M 'P m n 21'
_symmetry_Int_Tables_number 31
loop_
_symmetry_equiv_pos_as_xyz
'x,y,z'
'-x+1/2,-y,z+1/2'
'-x,y,z'
'x+1/2,-y,z+1/2'
loop_
_atom_site_label
_atom_site_type_symbol
_atom_site_fract_x
_atom_site_fract_y
_atom_site_fract_z
Al1 Al 0.000 0.129 0.000
Ag1 Ag 0.000 0.636 0.956
Te1 Te 0.000 0.374 0.201
Te2 Te 0.000 0.882 0.244
```

Principal peaks in the range 15 to 90 degrees two-theta, low angle first:
3.659 Å, I = 100
2.241 Å, I = 70
1.911 Å, I = 46
1.585 Å, I = 11
1.454 Å, I = 14
1.294 Å, I = 13
1.293 Å, I = 8
1.220 Å, I = 11



[7]
# PuCrS3
Simulated powder X-ray diffraction pattern, copper Kα. Input: a cell relaxed with PBE.
No peak broadening, texture or thermal motion is included.

Structural model:
```
data_PuCrS3
_cell_length_a 7.661
_cell_length_b 5.863
_cell_length_c 8.753
_cell_angle_alpha 90.00
_cell_angle_beta 98.65
_cell_angle_gamma 90.00
_symmetry_space_group_name_H-M 'P 1 21/c 1'
_symmetry_Int_Tables_number 14
loop_
_symmetry_equiv_pos_as_xyz
'x,y,z'
'-x,-y,-z'
'-x,y+1/2,-z+1/2'
'x,-y+1/2,z+1/2'
loop_
_atom_site_label
_atom_site_type_symbol
_atom_site_fract_x
_atom_site_fract_y
_atom_site_fract_z
Pu1 Pu 0.148 0.222 0.168
Cr1 Cr 0.406 0.744 0.575
S1 S 0.093 0.711 0.115
S2 S 0.314 0.085 0.936
S3 S 0.429 0.570 0.828
```

Principal peaks in the range 15 to 90 degrees two-theta, low angle first:
4.636 Å, I = 89
3.535 Å, I = 74
3.319 Å, I = 96
3.181 Å, I = 100
3.089 Å, I = 47
2.932 Å, I = 50
2.257 Å, I = 64
2.030 Å, I = 42



[8]
# K4Tl4Ag
Simulated powder X-ray diffraction pattern, copper Kα. Input: a cell relaxed with PBE.
No peak broadening, texture or thermal motion is included.

Structural model:
```
data_K4Tl4Ag
_cell_length_a 6.915
_cell_length_b 6.915
_cell_length_c 15.014
_cell_angle_alpha 90.00
_cell_angle_beta 90.00
_cell_angle_gamma 90.00
_symmetry_space_group_name_H-M 'I -4 2 m'
_symmetry_Int_Tables_number 121
_symmetry_space_group_name_Hall 'I -4 2'
loop_
_atom_site_label
_atom_site_type_symbol
_atom_site_fract_x
_atom_site_fract_y
_atom_site_fract_z
K1 K 0.197 0.197 0.104
Tl1 Tl 0.180 0.180 0.335
Ag1 Ag 0.000 0.000 0.500
```

Principal peaks in the range 15 to 90 degrees two-theta, low angle first:
4.097 Å, I = 66
3.457 Å, I = 34
3.029 Å, I = 100
2.977 Å, I = 65
2.543 Å, I = 26
2.154 Å, I = 35
2.094 Å, I = 43
1.667 Å, I = 30



[9]
# Pu2Si7Au12
Simulated powder X-ray diffraction pattern, copper Kα. Input: a cell relaxed with PBE.
No peak broadening, texture or thermal motion is included.

Structural model:
```
data_Pu2Si7Au12
_cell_length_a 10.1539
_cell_length_b 10.1539
_cell_length_c 4.3487
_cell_angle_alpha 90.00
_cell_angle_beta 90.00
_cell_angle_gamma 120.00
_symmetry_space_group_name_H-M 'P -3'
_symmetry_Int_Tables_number 147
loop_
_symmetry_equiv_pos_as_xyz
'x,y,z'
'-x,-y,-z'
'-y,x-y,z'
'y,-x+y,-z'
'-x+y,-x,z'
'x-y,x,-z'
loop_
_atom_site_label
_atom_site_type_symbol
_atom_site_fract_x
_atom_site_fract_y
_atom_site_fract_z
Pu1 Pu 0.3333 0.6667 0.2459
Si1 Si 0.0000 0.0000 0.5000
Si2 Si 0.1163 0.7123 0.7303
Au1 Au 0.0658 0.4496 0.7519
Au2 Au 0.1184 0.2615 0.2210
```

Principal peaks in the range 15 to 90 degrees two-theta, low angle first:
3.324 Å, I = 18
2.641 Å, I = 100
2.174 Å, I = 17
2.127 Å, I = 9
2.017 Å, I = 13
1.919 Å, I = 13
1.439 Å, I = 10
1.329 Å, I = 11



[10]
# PmNd2Sc3
Simulated powder X-ray diffraction pattern, copper Kα. Input: a cell relaxed with PBE.
No peak broadening, texture or thermal motion is included.

Structural model:
```
data_PmNd2Sc3
_cell_length_a 3.591
_cell_length_b 3.591
_cell_length_c 13.629
_cell_angle_alpha 90.00
_cell_angle_beta 90.00
_cell_angle_gamma 90.00
_symmetry_space_group_name_H-M 'P 4/m m m'
_symmetry_Int_Tables_number 123
_symmetry_space_group_name_Hall '-P 4 2'
loop_
_atom_site_label
_atom_site_type_symbol
_atom_site_fract_x
_atom_site_fract_y
_atom_site_fract_z
Pm1 Pm 0.000 0.000 0.000
Nd1 Nd 0.000 0.000 0.333
Sc1 Sc 0.500 0.500 0.166
Sc2 Sc 0.500 0.500 0.500
```

Principal peaks in the range 15 to 90 degrees two-theta, low angle first:
4.543 Å, I = 22
3.591 Å, I = 26
2.817 Å, I = 100
2.540 Å, I = 37
2.217 Å, I = 14
1.693 Å, I = 21
1.514 Å, I = 30
1.102 Å, I = 14



[11]
# Ca2YSc
Simulated powder X-ray diffraction pattern, copper Kα. Input: a cell relaxed with PBE.
No peak broadening, texture or thermal motion is included.

Structural model:
```
data_Ca2YSc
_cell_length_a 6.935
_cell_length_b 12.051
_cell_length_c 3.473
_cell_angle_alpha 90.00
_cell_angle_beta 112.77
_cell_angle_gamma 90.00
_symmetry_space_group_name_H-M 'C 1 2/m 1'
_symmetry_Int_Tables_number 12
loop_
_symmetry_equiv_pos_as_xyz
'x,y,z'
'-x,-y,-z'
'-x,y,-z'
'x,-y,z'
'x+1/2,y+1/2,z'
'-x+1/2,-y+1/2,-z'
'-x+1/2,y+1/2,-z'
'x+1/2,-y+1/2,z'
loop_
_atom_site_label
_atom_site_type_symbol
_atom_site_fract_x
_atom_site_fract_y
_atom_site_fract_z
Ca1 Ca 0.250 0.250 0.000
Y1 Y 0.000 0.000 0.500
Sc1 Sc 0.000 0.500 0.500
```

Principal peaks in the range 15 to 90 degrees two-theta, low angle first:
5.649 Å, I = 11
3.013 Å, I = 30
2.890 Å, I = 27
2.826 Å, I = 100
2.086 Å, I = 20
1.701 Å, I = 21
1.656 Å, I = 18
1.413 Å, I = 10



[12]
# TlAsPtCl
Simulated powder X-ray diffraction pattern, copper Kα. Input: a cell relaxed with PBE.
No peak broadening, texture or thermal motion is included.

Structural model:
```
data_TlAsPtCl
_cell_length_a 3.575
_cell_length_b 5.573
_cell_length_c 6.839
_cell_angle_alpha 71.45
_cell_angle_beta 78.99
_cell_angle_gamma 77.27
_symmetry_space_group_name_H-M 'P 1'
_symmetry_Int_Tables_number 1
loop_
_symmetry_equiv_pos_as_xyz
'x,y,z'
loop_
_atom_site_label
_atom_site_type_symbol
_atom_site_fract_x
_atom_site_fract_y
_atom_site_fract_z
Tl1 Tl 0.000 0.000 0.000
As1 As 0.503 0.506 0.981
Pt1 Pt 0.053 0.624 0.731
Cl1 Cl 0.606 0.764 0.460
```

Principal peaks in the range 15 to 90 degrees two-theta, low angle first:
5.205 Å, I = 63
4.774 Å, I = 64
3.573 Å, I = 62
3.457 Å, I = 57
3.222 Å, I = 65
2.698 Å, I = 100
2.670 Å, I = 76
2.542 Å, I = 81



[13]
# Hg8AuCl2
Simulated powder X-ray diffraction pattern, copper Kα. Input: a cell relaxed with PBE.
No peak broadening, texture or thermal motion is included.

Structural model:
```
data_Hg8AuCl2
_cell_length_a 4.177
_cell_length_b 6.503
_cell_length_c 12.560
_cell_angle_alpha 94.84
_cell_angle_beta 98.65
_cell_angle_gamma 91.79
_symmetry_space_group_name_H-M 'P -1'
_symmetry_Int_Tables_number 2
loop_
_symmetry_equiv_pos_as_xyz
'x,y,z'
'-x,-y,-z'
loop_
_atom_site_label
_atom_site_type_symbol
_atom_site_fract_x
_atom_site_fract_y
_atom_site_fract_z
Hg1 Hg 0.051 0.309 0.062
Hg2 Hg 0.209 0.486 0.415
Hg3 Hg 0.253 0.063 0.798
Hg4 Hg 0.376 0.531 0.762
Au1 Au 0.500 0.000 0.000
Cl1 Cl 0.235 0.976 0.353
```

Principal peaks in the range 15 to 90 degrees two-theta, low angle first:
3.236 Å, I = 64
3.207 Å, I = 100
3.169 Å, I = 61
2.808 Å, I = 56
2.715 Å, I = 36
2.522 Å, I = 59
2.177 Å, I = 51
2.115 Å, I = 34



[14]
# YAg2Sn
Simulated powder X-ray diffraction pattern, copper Kα. Input: a cell relaxed with PBE.
No peak broadening, texture or thermal motion is included.

Structural model:
```
data_YAg2Sn
_cell_length_a 4.732
_cell_length_b 6.202
_cell_length_c 6.138
_cell_angle_alpha 90.00
_cell_angle_beta 90.00
_cell_angle_gamma 90.00
_symmetry_space_group_name_H-M 'P m m n'
_symmetry_Int_Tables_number 59
loop_
_symmetry_equiv_pos_as_xyz
'x,y,z'
'-x,-y,-z'
'-x+1/2,-y+1/2,z'
'x+1/2,y+1/2,-z'
'x+1/2,-y,-z'
'-x+1/2,y,z'
'-x,y+1/2,-z'
'x,-y+1/2,z'
loop_
_atom_site_label
_atom_site_type_symbol
_atom_site_fract_x
_atom_site_fract_y
_atom_site_fract_z
Y1 Y 0.250 0.250 0.111
Ag1 Ag 0.250 0.508 0.646
Sn1 Sn 0.250 0.750 0.238
```

Principal peaks in the range 15 to 90 degrees two-theta, low angle first:
2.768 Å, I = 27
2.575 Å, I = 51
2.389 Å, I = 100
2.378 Å, I = 15
2.366 Å, I = 36
1.798 Å, I = 15
1.385 Å, I = 12
1.370 Å, I = 17